Simulated XRD peak list of Ba2MgCuNi2F14 for λ = 1.5418 Å (Cu Kα), from a cell relaxed with PBE+U.
Lines closer than 0.1° are merged.

The 6 most intense peaks (2θ from 5° to 70°), by angle:
24.48°, I = 57; 25.60°, I = 100; 25.93°, I = 89; 28.12°, I = 59; 29.02°, I = 50; 30.76°, I = 46

Crystal structure
a b c (Å): 5.257 7.343 14.551
angles (deg): 91.59 90.18 110.23
Space group P1 (No. 1)
Asymmetric unit:
Ba 0.000 0.000 0.000 (multiplicity 1)
Ba 0.132 0.004 0.503 (multiplicity 1)
Ba 0.374 0.758 0.755 (multiplicity 1)
Ba 0.507 0.759 0.246 (multiplicity 1)
Mg 0.687 0.399 0.880 (multiplicity 1)
Mg 0.825 0.382 0.377 (multiplicity 1)
Cu 0.753 0.387 0.126 (multiplicity 1)
Cu 0.754 0.382 0.626 (multiplicity 1)
Ni 0.119 0.148 0.754 (multiplicity 1)
Ni 0.153 0.150 0.253 (multiplicity 1)
Ni 0.354 0.613 0.999 (multiplicity 1)
Ni 0.389 0.616 0.499 (multiplicity 1)
F 0.060 0.605 0.913 (multiplicity 1)
F 0.089 0.889 0.222 (multiplicity 1)
F 0.117 0.648 0.581 (multiplicity 1)
F 0.123 0.541 0.113 (multiplicity 1)
F 0.154 0.369 0.465 (multiplicity 1)
F 0.171 0.398 0.288 (multiplicity 1)
F 0.203 0.700 0.401 (multiplicity 1)
F 0.302 0.058 0.849 (multiplicity 1)
F 0.342 0.358 0.962 (multiplicity 1)
F 0.356 0.394 0.785 (multiplicity 1)
F 0.385 0.222 0.145 (multiplicity 1)
F 0.392 0.117 0.670 (multiplicity 1)
F 0.425 0.880 0.035 (multiplicity 1)
F 0.439 0.159 0.335 (multiplicity 1)
F 0.542 0.545 0.609 (multiplicity 1)
F 0.591 0.877 0.528 (multiplicity 1)
F 0.634 0.698 0.898 (multiplicity 1)
F 0.652 0.282 0.502 (multiplicity 1)
F 0.660 0.627 0.086 (multiplicity 1)
F 0.664 0.604 0.416 (multiplicity 1)
F 0.753 0.482 0.252 (multiplicity 1)
F 0.760 0.282 0.004 (multiplicity 1)
F 0.845 0.159 0.835 (multiplicity 1)
F 0.853 0.125 0.170 (multiplicity 1)
F 0.857 0.483 0.748 (multiplicity 1)
F 0.885 0.067 0.350 (multiplicity 1)
F 0.919 0.889 0.720 (multiplicity 1)
F 0.967 0.221 0.641 (multiplicity 1)

=====

Simulated XRD peak list of Ba2Mn2ZnCuF14 for λ = 1.5418 Å (Cu Kα), from a cell relaxed with PBE+U.
Lines closer than 0.1° are merged.

The 6 most intense peaks (2θ from 5° to 70°), by angle:
25.45°, I = 100; 26.67°, I = 23; 27.76°, I = 27; 29.74°, I = 40; 30.34°, I = 25; 41.62°, I = 29

Crystal structure
a b c (Å): 13.871 5.368 14.819
angles (deg): 90.00 93.28 90.00
Space group C2/c (No. 15)
Asymmetric unit:
Ba 0.188 0.073 0.126 (multiplicity 8)
Mn 0.119 0.019 0.374 (multiplicity 8)
Zn 0.000 0.435 0.750 (multiplicity 4)
Cu 0.000 0.500 0.000 (multiplicity 4)
F 0.004 0.092 0.661 (multiplicity 8)
F 0.049 0.446 0.126 (multiplicity 8)
F 0.080 0.209 0.489 (multiplicity 8)
F 0.114 0.301 0.290 (multiplicity 8)
F 0.141 0.268 0.955 (multiplicity 8)
F 0.163 0.214 0.772 (multiplicity 8)
F 0.248 0.099 0.405 (multiplicity 8)

=====

Simulated XRD peak list of Ba2CuMo2F14 for λ = 1.5418 Å (Cu Kα), from a cell relaxed with PBE+U.
Lines closer than 0.1° are merged.

The 6 most intense peaks (2θ from 5° to 70°), by angle:
17.50°, I = 45; 22.71°, I = 50; 24.56°, I = 100; 26.68°, I = 30; 28.54°, I = 45; 48.60°, I = 27

Crystal structure
a b c (Å): 14.688 5.401 15.688
angles (deg): 90.00 93.15 90.00
Space group C2/c (No. 15)
Asymmetric unit:
Ba 0.177 0.074 0.128 (multiplicity 8)
Cu 0.000 0.500 0.000 (multiplicity 4)
Mo 0.123 0.026 0.372 (multiplicity 8)
F 0.003 0.074 0.655 (multiplicity 8)
F 0.062 0.426 0.102 (multiplicity 8)
F 0.082 0.203 0.482 (multiplicity 8)
F 0.127 0.298 0.291 (multiplicity 8)
F 0.151 0.262 0.951 (multiplicity 8)
F 0.179 0.178 0.779 (multiplicity 8)
F 0.249 0.383 0.590 (multiplicity 8)

=====

Simulated XRD peak list of Ba2ZnCuNi2F14 for λ = 1.5418 Å (Cu Kα), from a cell relaxed with PBE+U.
Lines closer than 0.1° are merged.

The 6 most intense peaks (2θ from 5° to 70°), by angle:
25.38°, I = 95; 25.65°, I = 100; 27.81°, I = 79; 28.53°, I = 98; 30.49°, I = 64; 41.00°, I = 67

Crystal structure
a b c (Å): 5.327 7.401 14.478
angles (deg): 89.85 89.75 69.51
Space group P1 (No. 1)
Asymmetric unit:
Ba 0.000 0.000 0.000 (multiplicity 1)
Ba 0.076 0.998 0.498 (multiplicity 1)
Ba 0.598 0.781 0.740 (multiplicity 1)
Ba 0.699 0.780 0.240 (multiplicity 1)
Zn 0.238 0.441 0.881 (multiplicity 1)
Zn 0.391 0.432 0.380 (multiplicity 1)
Cu 0.333 0.392 0.624 (multiplicity 1)
Cu 0.351 0.393 0.123 (multiplicity 1)
Ni 0.724 0.621 0.995 (multiplicity 1)
Ni 0.736 0.612 0.494 (multiplicity 1)
Ni 0.944 0.164 0.750 (multiplicity 1)
Ni 0.971 0.161 0.250 (multiplicity 1)
F 0.017 0.630 0.407 (multiplicity 1)
F 0.026 0.627 0.081 (multiplicity 1)
F 0.027 0.913 0.699 (multiplicity 1)
F 0.136 0.239 0.139 (multiplicity 1)
F 0.148 0.911 0.203 (multiplicity 1)
F 0.218 0.053 0.840 (multiplicity 1)
F 0.247 0.164 0.664 (multiplicity 1)
F 0.250 0.491 0.246 (multiplicity 1)
F 0.251 0.151 0.331 (multiplicity 1)
F 0.305 0.300 0.501 (multiplicity 1)
F 0.346 0.490 0.749 (multiplicity 1)
F 0.417 0.617 0.583 (multiplicity 1)
F 0.425 0.635 0.909 (multiplicity 1)
F 0.459 0.710 0.394 (multiplicity 1)
F 0.460 0.297 0.000 (multiplicity 1)
F 0.545 0.885 0.040 (multiplicity 1)
F 0.562 0.545 0.107 (multiplicity 1)
F 0.643 0.881 0.540 (multiplicity 1)
F 0.682 0.140 0.828 (multiplicity 1)
F 0.684 0.155 0.164 (multiplicity 1)
F 0.708 0.242 0.638 (multiplicity 1)
F 0.738 0.357 0.454 (multiplicity 1)
F 0.759 0.411 0.278 (multiplicity 1)
F 0.805 0.051 0.341 (multiplicity 1)
F 0.904 0.714 0.893 (multiplicity 1)
F 0.914 0.412 0.780 (multiplicity 1)
F 0.962 0.547 0.610 (multiplicity 1)
F 0.966 0.363 0.956 (multiplicity 1)

=====

Simulated XRD peak list of Ba2V2ZnCuF14 for λ = 1.5418 Å (Cu Kα), from a cell relaxed with PBE+U.
Lines closer than 0.1° are merged.

The 6 most intense peaks (2θ from 5° to 70°), by angle:
25.21°, I = 100; 26.81°, I = 24; 27.48°, I = 30; 29.97°, I = 31; 30.27°, I = 26; 55.55°, I = 21

Crystal structure
a b c (Å): 14.243 5.291 14.818
angles (deg): 90.00 91.68 90.00
Space group C2/c (No. 15)
Asymmetric unit:
Ba 0.184 0.082 0.124 (multiplicity 8)
V 0.120 0.020 0.374 (multiplicity 8)
Zn 0.000 0.441 0.750 (multiplicity 4)
Cu 0.000 0.500 0.000 (multiplicity 4)
F 0.004 0.110 0.664 (multiplicity 8)
F 0.048 0.440 0.123 (multiplicity 8)
F 0.077 0.199 0.486 (multiplicity 8)
F 0.111 0.311 0.287 (multiplicity 8)
F 0.142 0.271 0.955 (multiplicity 8)
F 0.170 0.189 0.776 (multiplicity 8)
F 0.247 0.115 0.404 (multiplicity 8)

=====

Simulated XRD peak list of BaGdFeCuO5 for λ = 1.5418 Å (Cu Kα), from a cell relaxed with PBE+U.
Lines closer than 0.1° are merged.

The 6 most intense peaks (2θ from 5° to 70°), by angle:
32.05°, I = 100; 32.41°, I = 43; 39.67°, I = 17; 46.49°, I = 28; 56.89°, I = 18; 57.58°, I = 37

Crystal structure
a b c (Å): 3.906 3.906 7.990
angles (deg): 90.00 90.00 90.00
Space group P4mm (No. 99)
Asymmetric unit:
Ba 0.000 0.000 0.000 (multiplicity 1)
Gd 0.000 0.000 0.465 (multiplicity 1)
Fe 0.500 0.500 0.707 (multiplicity 1)
Cu 0.500 0.500 0.253 (multiplicity 1)
O 0.000 0.500 0.274 (multiplicity 2)
O 0.000 0.500 0.638 (multiplicity 2)
O 0.500 0.500 0.941 (multiplicity 1)

=====

Simulated XRD peak list of Ba2La2Fe2Cu2O11 for λ = 1.5418 Å (Cu Kα), from a cell relaxed with PBE+U.
Lines closer than 0.1° are merged.

The 6 most intense peaks (2θ from 5° to 70°), by angle:
22.43°, I = 10; 31.93°, I = 100; 39.37°, I = 15; 45.78°, I = 31; 56.90°, I = 38; 66.74°, I = 18

Crystal structure
a b c (Å): 5.604 5.604 7.935
angles (deg): 90.00 90.00 90.00
Space group P4mm (No. 99)
Asymmetric unit:
Ba 0.000 0.500 0.000 (multiplicity 2)
La 0.000 0.500 0.495 (multiplicity 2)
Fe 0.000 0.000 0.249 (multiplicity 1)
Fe 0.500 0.500 0.727 (multiplicity 1)
Cu 0.000 0.000 0.752 (multiplicity 1)
Cu 0.500 0.500 0.257 (multiplicity 1)
O 0.000 0.000 0.005 (multiplicity 1)
O 0.000 0.000 0.500 (multiplicity 1)
O 0.255 0.255 0.264 (multiplicity 4)
O 0.259 0.259 0.743 (multiplicity 4)
O 0.500 0.500 0.500 (multiplicity 1)

=====

Simulated XRD peak list of Ba2La2Fe2Cu2O11 for λ = 1.5418 Å (Cu Kα), from a cell relaxed with PBE+U.
Lines closer than 0.1° are merged.

The 6 most intense peaks (2θ from 5° to 70°), by angle:
31.78°, I = 100; 31.95°, I = 46; 39.26°, I = 22; 45.81°, I = 30; 56.52°, I = 17; 56.83°, I = 38

Crystal structure
a b c (Å): 5.603 5.603 16.008
angles (deg): 90.00 90.00 90.00
Space group P4mm (No. 99)
Asymmetric unit:
Ba 0.000 0.500 0.000 (multiplicity 2)
Ba 0.000 0.500 0.252 (multiplicity 2)
La 0.000 0.500 0.502 (multiplicity 2)
La 0.000 0.500 0.749 (multiplicity 2)
Fe 0.000 0.000 0.113 (multiplicity 1)
Fe 0.000 0.000 0.631 (multiplicity 1)
Fe 0.500 0.500 0.382 (multiplicity 1)
Fe 0.500 0.500 0.860 (multiplicity 1)
Cu 0.000 0.000 0.389 (multiplicity 1)
Cu 0.000 0.000 0.874 (multiplicity 1)
Cu 0.500 0.500 0.141 (multiplicity 1)
Cu 0.500 0.500 0.626 (multiplicity 1)
O 0.000 0.000 0.515 (multiplicity 1)
O 0.000 0.000 0.751 (multiplicity 1)
O 0.000 0.000 0.997 (multiplicity 1)
O 0.245 0.245 0.392 (multiplicity 4)
O 0.247 0.247 0.131 (multiplicity 4)
O 0.247 0.247 0.631 (multiplicity 4)
O 0.259 0.259 0.869 (multiplicity 4)
O 0.500 0.500 0.266 (multiplicity 1)
O 0.500 0.500 0.504 (multiplicity 1)
O 0.500 0.500 0.745 (multiplicity 1)